The following is a theoretical XRD peak list of TbPm2Y2Ho2. It was derived from a structure optimized by DFT (PBE), using a wavelength of 1.5418 Å.

Unit cell a=5.7086 b=5.7086 c=24.4580 alpha=90.00 beta=90.00 gamma=120.00
Space group R-3m (No. 166, hexagonal axes)
Unique sites:
Tb1 0.0000 0.0000 0.0000
Pm1 0.0000 0.0000 0.1387
Y1 0.0000 0.0000 0.2829
Ho1 0.0000 0.0000 0.4253

Top 10 peaks for 2θ from 10° to 80°, by intensity:
31.34 deg, I = 100; 55.79 deg, I = 38; 44.92 deg, I = 18; 74.32 deg, I = 16; 65.40 deg, I = 12; 19.37 deg, I = 3; 25.62 deg, I = 1; 23.14 deg, I = 1; 46.12 deg, I = 1; 37.11 deg, I = 1